[1]
# SmIn6Ir
Simulated powder diffractogram, Cu Kα. Input: a PBE-relaxed structure.
Lines closer than 0.1° are merged.

Unit cell a=11.5066 b=11.5066 c=11.5066 alpha=90.00 beta=90.00 gamma=90.00
Space group Fm-3m (No. 225)
Asymmetric unit:
Sm  0.0000  0.0000  0.0000 (multiplicity 4)
In  0.0000  0.0000  0.2726 (multiplicity 24)
Ir  0.0000  0.0000  0.5000 (multiplicity 4)

Peak list (8 most intense, 15 to 90 degrees two-theta, by angle)
15.40°, d = 5.753 Å, I = 1000, hkl 2 0 0; 31.09°, d = 2.877 Å, I = 552, hkl 4 0 0; 34.87°, d = 2.573 Å, I = 478, hkl 4 2 0; 44.54°, d = 2.034 Å, I = 377, hkl 4 4 0; 47.41°, d = 1.918 Å, I = 247, hkl 6 0 0; 57.78°, d = 1.596 Å, I = 141, hkl 6 4 0; 67.07°, d = 1.395 Å, I = 127, hkl 6 4 4; 73.63°, d = 1.286 Å, I = 134, hkl 8 4 0


[2]
# NaSbBr4
Simulated powder diffractogram, Cu Kα. Input: a PBE-relaxed structure.
Lines closer than 0.1° are merged.

Unit cell a=14.0741 b=4.2639 c=7.5288 alpha=90.00 beta=95.31 gamma=90.00
Space group C2 (No. 5)
Asymmetric unit:
Na  0.0000  0.0000  0.0000 (multiplicity 2)
Sb  0.0000  0.4833  0.5000 (multiplicity 2)
Br  0.1080  0.4973  0.8311 (multiplicity 4)
Br  0.1183  0.0472  0.3745 (multiplicity 4)

Peak list (8 most intense, 15 to 90 degrees two-theta, by angle)
24.56°, d = 3.624 Å, I = 216, hkl 1 1 -1; 25.13°, d = 3.543 Å, I = 226, hkl 1 1 1; 28.02°, d = 3.185 Å, I = 508, hkl 2 0 2; 30.09°, d = 2.970 Å, I = 1000, hkl 3 1 -1; 39.40°, d = 2.287 Å, I = 184, hkl 2 0 3; 41.26°, d = 2.188 Å, I = 326, hkl 5 1 1; 41.88°, d = 2.157 Å, I = 333, hkl 1 1 -3; 42.40°, d = 2.132 Å, I = 178, hkl 0 2 0


[3]
# BC2
Simulated powder diffractogram, Cu Kα. Input: a PBE-relaxed structure.
Lines closer than 0.1° are merged.

Unit cell a=11.9044 b=2.5977 c=5.0889 alpha=90.00 beta=102.74 gamma=90.00
Space group Cm (No. 8)
Asymmetric unit:
B  0.0000  0.0000  0.0000 (multiplicity 2)
B  0.0028  0.0000  0.5279 (multiplicity 2)
B  0.1142  0.0000  0.3359 (multiplicity 2)
B  0.2542  0.5000  0.6454 (multiplicity 2)
C  0.1022  0.0000  0.8235 (multiplicity 2)
C  0.1763  0.5000  0.8635 (multiplicity 2)
C  0.1828  0.5000  0.3446 (multiplicity 2)
C  0.2593  0.5000  0.1430 (multiplicity 2)
C  0.3398  0.0000  0.1851 (multiplicity 2)
C  0.3476  0.0000  0.6903 (multiplicity 2)
C  0.4153  0.0000  0.4728 (multiplicity 2)
C  0.4164  0.0000  0.9753 (multiplicity 2)

Peak list (8 most intense, 15 to 90 degrees two-theta, by angle)
15.26°, d = 5.806 Å, I = 182, hkl 2 0 0; 41.88°, d = 2.157 Å, I = 1000, hkl 3 1 0; 42.38°, d = 2.133 Å, I = 467, hkl 4 0 -2; 42.66°, d = 2.119 Å, I = 493, hkl 2 0 2; 70.96°, d = 1.328 Å, I = 258, hkl 7 1 -2; 71.37°, d = 1.322 Å, I = 242, hkl 5 1 2; 72.82°, d = 1.299 Å, I = 131, hkl 0 2 0; 74.60°, d = 1.272 Å, I = 117, hkl 2 0 -4


[4]
# TcAg4O5
Simulated powder diffractogram, Cu Kα. Input: a PBE-relaxed structure.
Lines closer than 0.1° are merged.

Unit cell a=8.5740 b=8.5740 c=3.8460 alpha=90.00 beta=90.00 gamma=90.00
Space group I4 (No. 79)
Asymmetric unit:
Tc  0.0000  0.0000  0.0000 (multiplicity 2)
Ag  0.1008  0.3537  0.5570 (multiplicity 8)
O  0.0000  0.0000  0.5455 (multiplicity 2)
O  0.1171  0.1857  0.0681 (multiplicity 8)

Peak list (8 most intense, 15 to 90 degrees two-theta, by angle)
33.00°, d = 2.714 Å, I = 1000, hkl 1 3 0; 42.16°, d = 2.144 Å, I = 67, hkl 4 0 0; 44.81°, d = 2.023 Å, I = 258, hkl 2 3 1; 47.27°, d = 1.923 Å, I = 100, hkl 0 0 2; 54.58°, d = 1.682 Å, I = 67, hkl 1 5 0; 58.92°, d = 1.567 Å, I = 217, hkl 1 3 2; 63.22°, d = 1.471 Å, I = 69, hkl 5 3 0; 78.93°, d = 1.213 Å, I = 70, hkl 3 6 1